Mn4SiO6: computed XRD peak list (Cu Ka), based on a structure optimized by DFT (GGA+U).
No peak broadening, texture or thermal motion is included.

Largest 10 diffraction maxima, by angle, 2θ from 10° to 90°:
| d (Å) | Rel. int. |
| --- | --- |
| 4.354 | 40 |
| 3.197 | 59 |
| 2.986 | 54 |
| 2.931 | 62 |
| 2.891 | 100 |
| 2.794 | 95 |
| 2.613 | 39 |
| 2.515 | 62 |
| 2.421 | 79 |
| 2.199 | 38 |

Cell and atoms:
```
Mn4SiO6
1.0
5.2209 -2.9152 0.0000
5.2209 2.9152 0.0000
-3.9735 0.0000 9.7782
Mn Si O
8 2 12
Direct
0.0801 0.3020 0.8215
0.1060 0.8940 0.5000
0.1718 0.5763 0.1578
0.3020 0.0801 0.3215
0.5450 0.7735 0.0164
0.5763 0.1718 0.6578
0.7735 0.5450 0.5164
0.8940 0.1060 0.0000
0.1614 0.7116 0.7564
0.7116 0.1614 0.2564
0.1252 0.6181 0.5880
0.2577 0.8510 0.1214
0.3220 0.8896 0.8258
0.3425 0.4283 0.8145
0.4283 0.3425 0.3145
0.4428 0.9213 0.4993
0.6181 0.1252 0.0880
0.8510 0.2577 0.6214
0.8611 0.8898 0.7954
0.8896 0.3220 0.3258
0.8898 0.8611 0.2954
0.9213 0.4428 0.9993
```